Structure and calculated powder X-ray diffraction pattern of ErIn4Cl6 (a crystal structure in Alexandria, relaxed with GGA-PBE; a wavelength of 1.5418 Å).
Intensities are scaled so that the largest is 100.

The 6 most intense peaks (10° ≤ 2θ ≤ 90°), in order of rising 2θ:
- 13.41 deg, I = 66, (1 0 1)
- 23.76 deg, I = 40, (2 1 0)
- 29.08 deg, I = 100, (2 1 2)
- 33.40 deg, I = 35, (0 0 4)
- 33.85 deg, I = 47, (3 1 0)
- 48.29 deg, I = 34, (3 1 4)

Structure:
Cell: 8.374 8.374 10.730 Å, 90.00 90.00 90.00°
Space group P4/mnc (No. 128)
Asymmetric unit:
Er 0.000 0.000 0.000 (multiplicity 2)
In 0.152 0.348 0.250 (multiplicity 8)
Cl 0.000 0.000 0.247 (multiplicity 4)
Cl 0.179 0.743 0.000 (multiplicity 8)